[1]
This entry pairs a crystal structure of LiY4B3Pt12 with its simulated powder XRD pattern. Radiation: Cu Kα (weighted mean of Kα1 and Kα2). Structure: a structure optimized by DFT (GGA-PBE).
Kinematic intensities with the Lorentz-polarization factor, no thermal factor.

Largest 6 diffraction maxima, most intense first, 10 to 90 degrees two-theta:
d [Å]  Rel. int.  (hkl)
2.522  100  2 2 2
2.184  52  4 0 0
1.317  39  6 2 2
1.544  34  4 4 0
1.261  12  4 4 4
4.368  8  2 0 0

Crystal structure
a b c (Å): 8.7350 8.7350 8.7350
angles (deg): 90.00 90.00 90.00
Space group Im-3m (No. 229)
Asymmetric unit:
Li1 0.0000 0.0000 0.0000 (multiplicity 2)
Y1 0.2500 0.2500 0.2500 (multiplicity 8)
B1 0.0000 0.0000 0.5000 (multiplicity 6)
Pt1 0.0000 0.0000 0.2633 (multiplicity 12)
Pt2 0.0000 0.2500 0.5000 (multiplicity 12)

***

[2]
This entry pairs a crystal structure of RbBiCl5 with its simulated powder XRD pattern. Radiation: Cu Kα (weighted mean of Kα1 and Kα2). Structure: a structure optimized by DFT (GGA-PBE).
Kinematic intensities with the Lorentz-polarization factor, no thermal factor.

Largest 6 diffraction maxima, most intense first, 10 to 90 degrees two-theta:
d [Å]  Rel. int.  (hkl)
4.535  100  1 1 -2
5.692  86  2 0 0
6.779  71  1 1 0
3.389  52  2 2 0
2.689  34  2 0 -4
3.531  30  3 1 -2

Crystal structure
a b c (Å): 12.5386 8.4372 10.7574
angles (deg): 90.00 114.78 90.00
Space group C2/c (No. 15)
Asymmetric unit:
Rb1 0.0000 0.0235 0.2500 (multiplicity 4)
Bi1 0.0000 0.5000 0.0000 (multiplicity 4)
Cl1 0.0000 0.4467 0.2500 (multiplicity 4)
Cl2 0.0950 0.2196 0.0235 (multiplicity 8)
Cl3 0.2036 0.3674 0.6158 (multiplicity 8)

***

[3]
This entry pairs a crystal structure of Y3Tm4Co4 with its simulated powder XRD pattern. Radiation: Cu Kα (weighted mean of Kα1 and Kα2). Structure: a structure optimized by DFT (GGA-PBE).
Kinematic intensities with the Lorentz-polarization factor, no thermal factor.

Largest 6 diffraction maxima, most intense first, 10 to 90 degrees two-theta:
d [Å]  Rel. int.  (hkl)
2.522  100  0 3 3
2.735  64  1 2 1
2.956  37  1 0 3
2.209  28  0 2 6
2.169  26  1 3 2
1.469  21  2 3 3

Crystal structure
a b c (Å): 3.6162 8.6874 15.3891
angles (deg): 90.00 90.00 90.00
Space group Immm (No. 71)
Asymmetric unit:
Y1 0.0000 0.0000 0.0000 (multiplicity 2)
Y2 0.0000 0.5000 0.1044 (multiplicity 4)
Tm1 0.0000 0.3141 0.3338 (multiplicity 8)
Co1 0.0000 0.0000 0.2482 (multiplicity 4)
Co2 0.0000 0.2132 0.5000 (multiplicity 4)

***

[4]
This entry pairs a crystal structure of LaYHg3 with its simulated powder XRD pattern. Radiation: Cu Kα (weighted mean of Kα1 and Kα2). Structure: a structure optimized by DFT (GGA-PBE).
Kinematic intensities with the Lorentz-polarization factor, no thermal factor.

Largest 6 diffraction maxima, most intense first, 10 to 90 degrees two-theta:
d [Å]  Rel. int.  (hkl)
2.829  100  1 3 1
2.535  86  0 10 1
2.498  49  0 0 2
2.192  36  1 9 1
1.485  33  2 10 1
2.762  31  1 7 0

Crystal structure
a b c (Å): 3.6630 29.4228 4.9965
angles (deg): 90.00 90.00 90.00
Space group Cmcm (No. 63)
Asymmetric unit:
La1 0.0000 0.0762 0.2500 (multiplicity 4)
Y1 0.0000 0.2101 0.7500 (multiplicity 4)
Hg1 0.0000 0.3160 0.7500 (multiplicity 4)
Hg2 0.0000 0.3760 0.2500 (multiplicity 4)
Hg3 0.0000 0.4754 0.2500 (multiplicity 4)

***

[5]
This entry pairs a crystal structure of TlAgCl2 with its simulated powder XRD pattern. Radiation: Cu Kα (weighted mean of Kα1 and Kα2). Structure: a structure optimized by DFT (GGA-PBE).
Kinematic intensities with the Lorentz-polarization factor, no thermal factor.

Largest 6 diffraction maxima, most intense first, 10 to 90 degrees two-theta:
d [Å]  Rel. int.  (hkl)
3.724  100  1 -1 0
2.553  73  -1 1 2
3.889  60  0 2 1
2.660  59  1 1 -1
3.645  43  0 0 2
3.196  32  1 0 2

Crystal structure
a b c (Å): 4.2413 7.8068 8.2694
angles (deg): 66.64 75.15 89.98
Space group P-1 (No. 2)
Asymmetric unit:
Tl1 0.1300 0.0776 0.2393 (multiplicity 2)
Ag1 0.3957 0.4072 0.7083 (multiplicity 2)
Cl1 0.2039 0.7419 0.0934 (multiplicity 2)
Cl2 0.4856 0.7647 0.5293 (multiplicity 2)

***

[6]
This entry pairs a crystal structure of AcTb5Tl3 with its simulated powder XRD pattern. Radiation: Cu Kα (weighted mean of Kα1 and Kα2). Structure: a structure optimized by DFT (GGA-PBE).
Kinematic intensities with the Lorentz-polarization factor, no thermal factor.

Largest 6 diffraction maxima, most intense first, 10 to 90 degrees two-theta:
d [Å]  Rel. int.  (hkl)
2.752  100  3 0 0
2.794  93  1 1 2
1.597  35  4 1 2
1.961  34  2 2 2
1.461  30  3 0 4
1.589  19  3 3 0

Crystal structure
a b c (Å): 9.5345 9.5345 6.8950
angles (deg): 90.00 90.00 120.00
Space group P6_3/mcm (No. 193)
Asymmetric unit:
Ac1 0.0000 0.0000 0.0000 (multiplicity 2)
Tb1 0.0000 0.3340 0.2500 (multiplicity 6)
Tb2 0.3333 0.6667 0.0000 (multiplicity 4)
Tl1 0.0000 0.3413 0.7500 (multiplicity 6)